Calculated powder X-ray diffraction pattern of NaLaMgS3O12 for Cu Ka, from a structure optimized by DFT (PBE).

The 10 most intense peaks (2θ = 5–70°), in order of rising 2θ:
| (hkl) | two_theta | d/Å | Rel. int. |
| --- | --- | --- | --- |
| 0 1 2 | 13.38 | 6.619 | 64 |
| 1 0 4 | 18.51 | 4.794 | 62 |
| 1 1 0 | 19.40 | 4.575 | 46 |
| 1 1 3 | 22.37 | 3.975 | 100 |
| 2 0 2 | 23.64 | 3.763 | 32 |
| 0 2 4 | 26.94 | 3.310 | 34 |
| 1 1 6 | 29.61 | 3.017 | 88 |
| 2 1 4 | 33.42 | 2.681 | 23 |
| 3 0 0 | 33.94 | 2.641 | 36 |
| 2 2 6 | 45.65 | 1.987 | 31 |

Structure:
Lattice parameters (Å, degrees): 9.1493 9.1493 24.0860 90.00 90.00 120.00
Space group R3c (No. 161, hexagonal axes)
One atom of each set of equivalent atoms:
1 Na 0.0000 0.0000 0.0000 [6 per cell]
2 La 0.0000 0.0000 0.1589 [6 per cell]
3 Mg 0.0000 0.0000 0.3609 [6 per cell]
4 S 0.0479 0.3561 0.4307 [18 per cell]
5 O 0.0028 0.2091 0.0998 [18 per cell]
6 O 0.0369 0.1893 0.4260 [18 per cell]
7 O 0.1237 0.4543 0.3792 [18 per cell]
8 O 0.1480 0.4491 0.4800 [18 per cell]